Simulated X-ray diffraction stick pattern
Compound: ReIr3Ru2
Radiation: a wavelength of 1.5418 Å
Structure: a structure optimized by DFT (GGA-PBE)
Lines closer than 0.1° are merged.

Top 10 peaks for 10 to 90 degrees two-theta, in order of falling intensity:
| two_theta | I (rel.) |
| --- | --- |
| 40.41 | 100 |
| 40.55 | 99 |
| 47.05 | 65 |
| 82.97 | 51 |
| 47.19 | 32 |
| 68.86 | 21 |
| 68.73 | 21 |
| 83.26 | 13 |
| 82.73 | 13 |
| 87.39 | 11 |

Crystal structure
Cell: 5.4435 3.8609 8.2058 Å, 90.00 90.20 90.00°
Element x y z (fractional)
Re1 0.1313 0.2500 0.2490
Re2 0.8687 0.7500 0.7510
Ir1 0.1252 0.2500 0.5824
Ir2 0.3683 0.7500 0.0893
Ir3 0.3746 0.7500 0.7476
Ir4 0.6254 0.2500 0.2524
Ir5 0.6317 0.2500 0.9107
Ir6 0.8748 0.7500 0.4176
Ru1 0.1232 0.2500 0.9195
Ru2 0.3709 0.7500 0.4120
Ru3 0.6291 0.2500 0.5880
Ru4 0.8768 0.7500 0.0805


Simulated X-ray diffraction stick pattern
Compound: Re4Ir12Ru3
Radiation: a wavelength of 1.5418 Å
Structure: a structure optimized by DFT (GGA-PBE)
Lines closer than 0.1° are merged.

Top 10 peaks for 10 to 90 degrees two-theta, in order of falling intensity:
| two_theta | I (rel.) |
| --- | --- |
| 13.51 | 100 |
| 43.66 | 72 |
| 48.07 | 69 |
| 36.25 | 41 |
| 76.95 | 36 |
| 38.85 | 34 |
| 23.50 | 27 |
| 50.17 | 26 |
| 41.31 | 22 |
| 19.14 | 18 |

Crystal structure
Cell: 8.0301 8.0301 8.0301 Å, 109.47 109.47 109.47°
Element x y z (fractional)
Re1 0.0000 0.0000 0.5000
Re2 0.0000 0.5000 0.0000
Re3 0.5000 0.0000 0.0000
Re4 0.5000 0.5000 0.5000
Ir1 0.0975 0.3603 0.7373
Ir2 0.2627 0.6230 0.3603
Ir3 0.2627 0.9025 0.6397
Ir4 0.3603 0.2627 0.6230
Ir5 0.3603 0.7373 0.0975
Ir6 0.3770 0.6397 0.7373
Ir7 0.6230 0.3603 0.2627
Ir8 0.6397 0.2627 0.9025
Ir9 0.6397 0.7373 0.3770
Ir10 0.7373 0.0975 0.3603
Ir11 0.7373 0.3770 0.6397
Ir12 0.9025 0.6397 0.2627
Ru1 0.0000 0.5000 0.5000
Ru2 0.5000 0.0000 0.5000
Ru3 0.5000 0.5000 0.0000